No. 1
Simulated powder diffractogram
Compound: CoAg2Pd2
Radiation: λ = 1.5418 Å (Cu Kα)
Structure: DFT lattice parameters and positions (PBE)
Lines closer than 0.1° are merged.

Structural model:
```
CoAg2Pd2
1.0
3.607 0.000 0.000
0.000 3.607 0.000
0.000 0.000 13.891
Co Ag Pd
2 4 4
Cartesian
0.000 0.000 0.000
1.803 1.803 6.945
0.000 0.000 5.619
0.000 0.000 8.272
1.803 1.803 1.327
1.803 1.803 12.564
0.000 1.803 3.473
0.000 1.803 10.418
1.803 0.000 3.473
1.803 0.000 10.418
```

Main lines, in order of rising 2θ (10° ≤ 2θ ≤ 90°):
Position (°2θ)  I/Imax
25.5  33
37.6  100
38.9  22
41.0  48
44.1  50
50.6  40
67.1  21
78.4  20



No. 2
Simulated powder diffractogram
Compound: Pm2CoAg
Radiation: λ = 1.5418 Å (Cu Kα)
Structure: DFT lattice parameters and positions (PBE)
Lines closer than 0.1° are merged.

Structural model:
```
Pm2CoAg
1.0
5.077 0.000 0.000
0.000 5.077 0.000
0.000 0.000 3.608
Pm Co Ag
2 1 1
Cartesian
0.000 2.539 0.000
2.539 0.000 0.000
0.000 0.000 1.804
2.539 2.539 1.804
```

Main lines, in order of rising 2θ (10° ≤ 2θ ≤ 90°):
Position (°2θ)  I/Imax
24.8  5
35.3  100
50.6  6
50.9  12
63.2  12
63.4  23
74.6  7
85.5  10



No. 3
Simulated powder diffractogram
Compound: PmCoAg
Radiation: λ = 1.5418 Å (Cu Kα)
Structure: DFT lattice parameters and positions (PBE)
Lines closer than 0.1° are merged.

Structural model:
```
PmCoAg
1.0
12.876 0.000 0.000
0.000 3.973 0.000
-1.082 0.000 4.866
Pm Co Ag
4 4 4
Cartesian
1.269 0.000 1.595
4.087 1.986 3.271
7.707 1.986 1.595
10.525 0.000 3.271
1.992 0.000 4.375
3.364 1.986 0.491
8.430 1.986 4.375
9.803 0.000 0.491
0.116 1.986 3.817
5.240 0.000 1.049
6.555 0.000 3.817
11.678 1.986 1.049
```

Main lines, in order of rising 2θ (10° ≤ 2θ ≤ 90°):
Position (°2θ)  I/Imax
30.8  53
31.0  39
33.7  100
36.6  37
37.3  21
38.6  42
43.2  32
45.7  48



No. 4
Simulated powder diffractogram
Compound: Pm6Co2Ag
Radiation: λ = 1.5418 Å (Cu Kα)
Structure: DFT lattice parameters and positions (PBE)
Lines closer than 0.1° are merged.

Structural model:
```
Pm6Co2Ag
1.0
5.025 -2.596 0.000
5.025 2.596 0.000
-1.532 0.000 8.826
Pm Co Ag
6 2 1
Cartesian
-0.139 0.000 3.016
1.889 0.000 5.821
3.279 0.000 1.015
5.239 0.000 7.811
6.628 0.000 3.005
8.656 0.000 5.809
3.302 0.000 3.585
5.215 0.000 5.241
0.000 0.000 0.000
```

Main lines, in order of rising 2θ (10° ≤ 2θ ≤ 90°):
Position (°2θ)  I/Imax
26.9  23
29.1  26
30.4  23
32.1  100
32.3  32
34.5  67
34.9  44
56.8  25



No. 5
Simulated powder diffractogram
Compound: Pm4Co2Ag5
Radiation: λ = 1.5418 Å (Cu Kα)
Structure: DFT lattice parameters and positions (PBE)
Lines closer than 0.1° are merged.

Structural model:
```
Pm4Co2Ag5
1.0
7.432 0.000 0.000
0.000 3.833 0.000
-0.722 0.000 8.727
Pm Co Ag
4 2 5
Cartesian
1.175 0.000 2.996
1.037 0.000 8.034
5.672 0.000 0.693
5.535 0.000 5.731
0.359 1.916 1.101
6.350 1.916 7.626
0.727 1.916 5.536
3.198 1.916 1.449
3.355 1.916 4.363
3.511 1.916 7.278
5.983 1.916 3.191
```

Main lines, in order of rising 2θ (10° ≤ 2θ ≤ 90°):
Position (°2θ)  I/Imax
32.7  75
33.7  68
34.0  100
35.8  30
36.4  27
37.7  24
38.9  23
47.4  34



No. 6
Simulated powder diffractogram
Compound: Pr3CoAg
Radiation: λ = 1.5418 Å (Cu Kα)
Structure: DFT lattice parameters and positions (PBE)
Lines closer than 0.1° are merged.

Structural model:
```
Pr3CoAg
1.0
8.418 0.000 0.000
0.000 4.056 0.000
-2.584 0.000 8.239
Pr Co Ag
6 2 2
Cartesian
-0.213 1.014 2.241
0.161 1.014 7.822
1.240 3.042 4.957
4.594 1.014 3.282
5.673 3.042 0.416
6.047 3.042 5.997
-0.774 1.014 5.018
6.608 3.042 3.221
2.356 3.042 1.926
3.478 1.014 6.313
```

Main lines, in order of rising 2θ (10° ≤ 2θ ≤ 90°):
Position (°2θ)  I/Imax
28.2  77
30.9  100
31.1  34
31.3  46
33.5  44
34.2  58
38.4  43
44.7  41



No. 7
Simulated powder diffractogram
Compound: CoAg2Sn3S8
Radiation: λ = 1.5418 Å (Cu Kα)
Structure: DFT lattice parameters and positions (PBE)
Lines closer than 0.1° are merged.

Structural model:
```
CoAg2Sn3S8
1.0
3.794 2.190 6.028
-3.794 2.190 6.028
0.000 -4.381 6.028
Co Ag Sn S
1 2 3 8
Cartesian
0.000 0.000 0.000
0.000 0.000 7.057
0.000 0.000 11.028
-3.794 0.000 9.042
-1.897 1.095 3.014
1.897 1.095 3.014
-2.151 -1.242 10.632
0.000 -2.483 7.453
-2.151 1.242 7.453
0.000 0.000 4.467
0.000 0.000 13.618
2.151 -1.242 10.632
0.000 2.483 10.632
2.151 1.242 7.453
```

Main lines, in order of rising 2θ (10° ≤ 2θ ≤ 90°):
Position (°2θ)  I/Imax
23.9  44
27.6  100
27.8  69
28.2  60
33.7  57
44.2  55
48.0  71
48.9  61



No. 8
Simulated powder diffractogram
Compound: Sm2Co2Ag
Radiation: λ = 1.5418 Å (Cu Kα)
Structure: DFT lattice parameters and positions (PBE)
Lines closer than 0.1° are merged.

Structural model:
```
Sm2Co2Ag
1.0
3.875 0.000 0.000
0.000 13.792 0.000
0.000 0.000 3.923
Sm Co Ag
4 4 2
Cartesian
0.000 1.848 0.000
0.000 11.943 0.000
1.938 5.047 0.000
1.938 8.744 0.000
0.000 4.014 1.961
0.000 9.777 1.961
1.938 2.882 1.961
1.938 10.910 1.961
0.000 6.896 1.961
1.938 0.000 1.961
```

Main lines, in order of rising 2θ (10° ≤ 2θ ≤ 90°):
Position (°2θ)  I/Imax
30.2  39
33.1  100
34.6  82
38.1  28
40.1  35
46.3  24
46.9  23
59.6  33



No. 9
Simulated powder diffractogram
Compound: Sm7Co2Ag2
Radiation: λ = 1.5418 Å (Cu Kα)
Structure: DFT lattice parameters and positions (PBE)
Lines closer than 0.1° are merged.

Structural model:
```
Sm7Co2Ag2
1.0
-1.874 7.997 4.901
1.874 -7.997 4.901
1.874 7.997 -4.901
Sm Co Ag
7 2 2
Cartesian
0.000 0.000 0.000
1.874 2.944 -1.107
1.874 -2.360 2.272
1.874 2.360 2.272
1.874 5.938 0.782
0.000 5.053 3.794
0.000 2.059 5.683
0.000 3.876 0.809
0.000 12.118 0.809
0.000 0.000 3.249
0.000 7.997 2.343
```

Main lines, in order of rising 2θ (10° ≤ 2θ ≤ 90°):
Position (°2θ)  I/Imax
27.9  29
29.4  25
30.5  47
32.1  82
34.0  100
34.5  43
48.6  31
59.4  28



No. 10
Simulated powder diffractogram
Compound: Tb8Co3Ag2
Radiation: λ = 1.5418 Å (Cu Kα)
Structure: DFT lattice parameters and positions (PBE)
Lines closer than 0.1° are merged.

Structural model:
```
Tb8Co3Ag2
1.0
7.643 0.000 0.000
0.000 3.921 0.000
-3.171 0.000 12.043
Tb Co Ag
8 3 2
Cartesian
-0.630 0.000 4.598
-1.455 1.961 10.370
0.695 1.961 7.414
2.819 0.000 1.518
1.653 0.000 10.525
3.777 1.961 4.629
5.927 1.961 1.673
5.101 0.000 7.445
-0.415 0.000 8.802
3.821 1.961 0.000
4.887 0.000 3.241
1.084 1.961 3.163
3.387 1.961 8.880
```

Main lines, in order of rising 2θ (10° ≤ 2θ ≤ 90°):
Position (°2θ)  I/Imax
12.4  18
27.6  38
31.5  48
32.1  100
33.3  18
42.3  31
46.3  20
48.5  31



No. 11
Simulated powder diffractogram
Compound: Tb12Co6Ag
Radiation: λ = 1.5418 Å (Cu Kα)
Structure: DFT lattice parameters and positions (PBE)
Lines closer than 0.1° are merged.

Structural model:
```
Tb12Co6Ag
1.0
-4.835 4.835 4.835
4.835 -4.835 4.835
4.835 4.835 -4.835
Tb Co Ag
12 6 1
Cartesian
4.835 -1.902 2.953
2.933 1.882 0.000
6.737 1.882 0.000
2.953 4.835 -1.902
1.882 0.000 2.933
0.000 2.933 1.882
4.835 1.902 2.953
2.953 4.835 1.902
1.882 0.000 6.737
-1.902 2.953 4.835
1.902 2.953 4.835
0.000 6.737 1.882
4.835 0.000 1.097
4.835 3.738 0.000
1.097 4.835 0.000
3.738 0.000 4.835
0.000 1.097 4.835
0.000 4.835 3.738
0.000 0.000 0.000
```

Main lines, in order of rising 2θ (10° ≤ 2θ ≤ 90°):
Position (°2θ)  I/Imax
29.2  46
32.1  55
34.7  100
37.2  21
48.0  24
55.4  38
58.9  39
68.6  20



No. 12
Simulated powder diffractogram
Compound: Tb4Co2Ag5
Radiation: λ = 1.5418 Å (Cu Kα)
Structure: DFT lattice parameters and positions (PBE)
Lines closer than 0.1° are merged.

Structural model:
```
Tb4Co2Ag5
1.0
7.364 0.000 0.000
0.000 3.707 0.000
-0.810 0.000 8.641
Tb Co Ag
4 2 5
Cartesian
1.116 0.000 2.970
0.919 0.000 7.999
5.635 0.000 0.642
5.437 0.000 5.671
0.356 1.854 1.099
6.197 1.854 7.541
0.668 1.854 5.497
3.176 1.854 1.448
3.277 1.854 4.320
3.378 1.854 7.193
5.885 1.854 3.144
```

Main lines, in order of rising 2θ (10° ≤ 2θ ≤ 90°):
Position (°2θ)  I/Imax
33.4  73
34.4  100
34.8  67
36.7  30
36.8  30
37.9  26
39.6  25
49.1  32



No. 13
Simulated powder diffractogram
Compound: TbZrCoAg
Radiation: λ = 1.5418 Å (Cu Kα)
Structure: DFT lattice parameters and positions (PBE)
Lines closer than 0.1° are merged.

Structural model:
```
TbZrCoAg
1.0
6.839 0.000 0.000
0.000 6.839 0.000
0.000 0.000 6.839
Tb Zr Co Ag
4 4 4 4
Cartesian
0.000 0.000 0.000
0.000 3.420 3.420
3.420 0.000 3.420
3.420 3.420 0.000
0.000 0.000 3.420
0.000 3.420 0.000
3.420 0.000 0.000
3.420 3.420 3.420
1.710 1.710 1.710
1.710 5.129 5.129
5.129 1.710 5.129
5.129 5.129 1.710
1.710 1.710 5.129
1.710 5.129 1.710
5.129 1.710 1.710
5.129 5.129 5.129
```

Main lines, in order of rising 2θ (10° ≤ 2θ ≤ 90°):
Position (°2θ)  I/Imax
22.5  9
26.1  4
37.2  100
43.9  5
53.6  17
58.9  2
67.0  34
79.2  10



No. 14
Simulated powder diffractogram
Compound: Tm12Co6Ag
Radiation: λ = 1.5418 Å (Cu Kα)
Structure: DFT lattice parameters and positions (PBE)
Lines closer than 0.1° are merged.

Structural model:
```
Tm12Co6Ag
1.0
-4.740 4.740 4.740
4.740 -4.740 4.740
4.740 4.740 -4.740
Tm Co Ag
12 6 1
Cartesian
4.740 2.897 -1.882
2.858 0.000 1.843
6.622 0.000 1.843
1.843 2.858 0.000
2.897 -1.882 4.740
0.000 1.843 2.858
4.740 2.897 1.882
1.843 6.622 0.000
2.897 1.882 4.740
-1.882 4.740 2.897
1.882 4.740 2.897
0.000 1.843 6.622
4.740 1.087 0.000
4.740 0.000 3.653
3.653 4.740 0.000
1.087 0.000 4.740
0.000 4.740 1.087
0.000 3.653 4.740
0.000 0.000 0.000
```

Main lines, in order of rising 2θ (10° ≤ 2θ ≤ 90°):
Position (°2θ)  I/Imax
29.8  47
32.7  57
35.4  100
38.0  22
49.0  22
56.6  39
60.2  40
70.2  21